Structure and theoretical X-ray powder pattern of SmPuPd2 (a crystal structure in Alexandria, relaxed with PBE; Cu Kα).

Main lines, low angle first (2θ = 15–90°):
- 31.77°, I 100
- 32.78°, I 32
- 33.83°, I 26
- 39.59°, I 57
- 40.57°, I 28
- 47.08°, I 18

Crystal structure
```
8
Lattice="4.447 0.000 0.000 0.000 3.861 0.000 0.000 0.000 10.928" Properties=species:S:1:pos:R:3 pbc="T T T"
Sm 0.000 0.000 0.000
Sm 0.000 1.930 5.464
Pu 2.223 0.000 3.033
Pu 2.223 1.930 8.497
Pd 0.000 0.000 7.939
Pd 0.000 1.930 2.475
Pd 2.223 0.000 6.057
Pd 2.223 1.930 0.593
```


Structure and theoretical X-ray powder pattern of Pu2Sn2Pd5 (a crystal structure in Alexandria, relaxed with PBE; Cu Kα).

Main lines, low angle first (2θ = 15–90°):
- 17.18°, I 20
- 32.01°, I 100
- 34.55°, I 35
- 34.75°, I 70
- 42.43°, I 22
- 51.47°, I 22

Crystal structure
```
18
Lattice="-6.651 3.250 4.247 6.651 -3.250 4.247 6.651 3.250 -4.247" Properties=species:S:1:pos:R:3 pbc="T T T"
Pu 1.665 0.110 0.000
Pu 4.986 0.110 0.000
Pu 1.665 3.140 4.247
Pu 4.986 3.140 4.247
Sn 0.000 0.000 3.525
Sn 6.651 0.000 3.525
Sn 3.326 3.176 0.834
Sn 3.326 0.074 5.082
Pd 8.635 1.833 -1.918
Pd 4.667 -1.418 2.330
Pd 3.326 2.190 -1.680
Pd 3.326 1.060 2.568
Pd -1.984 1.418 2.330
Pd 8.635 1.418 2.330
Pd 0.693 2.062 1.754
Pd 5.958 2.062 1.754
Pd -0.693 4.439 1.754
Pd 0.693 1.189 6.002
```